Entry 1:
For Tb2CuGe4O12, a structure optimized by DFT (GGA-PBE) gives the simulated X-ray diffraction stick pattern in this record (a wavelength of 1.5418 Å).
Lines closer than 0.1° are merged.

Cell and atoms:
abc: 4.9911 7.3160 8.0441
angles: 66.27 86.84 76.79
Space group P-1 (No. 2)
Inequivalent atoms, fractional coordinates:
Tb 0.0465 0.2695 0.4516 [2 per cell]
Cu 0.0000 0.5000 0.0000 [1 per cell]
Ge 0.4187 0.8839 0.7968 [2 per cell]
Ge 0.4602 0.6695 0.2235 [2 per cell]
O 0.2082 0.9236 0.6133 [2 per cell]
O 0.2272 0.5669 0.3874 [2 per cell]
O 0.2474 0.5049 0.7976 [2 per cell]
O 0.2567 0.2766 0.1921 [2 per cell]
O 0.2671 0.8129 0.0119 [2 per cell]
O 0.4190 0.1561 0.7076 [2 per cell]

Principal peaks in the range 10° ≤ 2θ ≤ 90°, by angle:
2θ 12.03, intensity 35, (0 0 1); 2θ 21.51, intensity 34, (1 0 -1); 2θ 22.35, intensity 22, (1 0 1); 2θ 25.13, intensity 41, (-1 1 1); 2θ 27.53, intensity 100, (1 2 1); 2θ 29.86, intensity 43, (1 0 -2); 2θ 31.10, intensity 60, (1 0 2); 2θ 34.25, intensity 31, (0 2 -1); 2θ 34.46, intensity 22, (-1 2 1); 2θ 35.92, intensity 21, (0 2 3)

Entry 2:
For Tm2CuGe4O12, a structure optimized by DFT (GGA-PBE) gives the simulated X-ray diffraction stick pattern in this record (a wavelength of 1.5418 Å).
Lines closer than 0.1° are merged.

Cell and atoms:
abc: 4.9839 7.1941 7.9633
angles: 66.00 87.05 77.62
Space group P-1 (No. 2)
Inequivalent atoms, fractional coordinates:
Tm 0.0395 0.2705 0.4518 [2 per cell]
Cu 0.0000 0.5000 0.0000 [1 per cell]
Ge 0.4206 0.8798 0.7921 [2 per cell]
Ge 0.4566 0.6644 0.2235 [2 per cell]
O 0.2109 0.9282 0.6040 [2 per cell]
O 0.2218 0.5642 0.3917 [2 per cell]
O 0.2480 0.5098 0.7934 [2 per cell]
O 0.2539 0.2773 0.1988 [2 per cell]
O 0.2639 0.7937 0.0089 [2 per cell]
O 0.4189 0.1545 0.7148 [2 per cell]

Principal peaks in the range 10° ≤ 2θ ≤ 90°, by angle:
2θ 12.18, intensity 46, (0 0 1); 2θ 21.57, intensity 38, (1 0 -1); 2θ 22.40, intensity 26, (1 0 1); 2θ 25.09, intensity 38, (-1 1 1); 2θ 28.01, intensity 100, (1 2 1); 2θ 30.10, intensity 48, (1 0 -2); 2θ 31.31, intensity 66, (1 0 2); 2θ 34.54, intensity 27, (-1 2 1); 2θ 34.82, intensity 31, (0 2 -1); 2θ 52.13, intensity 34, (-2 1 3)

Entry 3:
For ZnCuGe2O6, a structure optimized by DFT (GGA-PBE) gives the simulated X-ray diffraction stick pattern in this record (a wavelength of 1.5418 Å).
Lines closer than 0.1° are merged.

Cell and atoms:
abc: 10.2873 9.6084 5.4064
angles: 90.00 111.01 90.00
Space group C2/c (No. 15)
Inequivalent atoms, fractional coordinates:
Zn 0.0000 0.2374 0.2500 [4 per cell]
Cu 0.0000 0.1070 0.7500 [4 per cell]
Ge 0.2024 0.4111 0.7569 [8 per cell]
O 0.1115 0.0901 0.1203 [8 per cell]
O 0.1217 0.2554 0.6150 [8 per cell]
O 0.1459 0.4497 0.0241 [8 per cell]

Principal peaks in the range 10° ≤ 2θ ≤ 90°, by angle:
2θ 25.60, intensity 41, (0 2 1); 2θ 26.24, intensity 53, (2 2 0); 2θ 27.69, intensity 93, (2 2 -1); 2θ 28.69, intensity 33, (3 1 -1); 2θ 29.41, intensity 100, (3 1 0); 2θ 32.63, intensity 90, (1 3 -1); 2θ 35.40, intensity 47, (2 2 1); 2θ 35.58, intensity 56, (0 0 2); 2θ 52.90, intensity 40, (5 3 -1); 2θ 64.69, intensity 45, (5 3 1)

Entry 4:
For ZnCuGe2O6, a structure optimized by DFT (GGA-PBE) gives the simulated X-ray diffraction stick pattern in this record (a wavelength of 1.5418 Å).
Lines closer than 0.1° are merged.

Cell and atoms:
abc: 9.6216 9.4510 5.4351
angles: 90.00 99.40 90.00
Space group P2_1/c (No. 14)
Inequivalent atoms, fractional coordinates:
Zn 0.2504 0.0049 0.0483 [4 per cell]
Cu 0.2579 0.1498 0.5403 [4 per cell]
Ge 0.0388 0.6596 0.7644 [4 per cell]
Ge 0.4399 0.6607 0.1732 [4 per cell]
O 0.1138 0.0094 0.2860 [4 per cell]
O 0.1136 0.7262 0.5082 [4 per cell]
O 0.1487 0.1698 0.8100 [4 per cell]
O 0.3553 0.5113 0.2680 [4 per cell]
O 0.3727 0.1500 0.2737 [4 per cell]
O 0.3896 0.6886 0.8427 [4 per cell]

Principal peaks in the range 10° ≤ 2θ ≤ 90°, by angle:
2θ 25.86, intensity 31, (1 2 -1); 2θ 26.62, intensity 40, (2 2 0); 2θ 27.80, intensity 100, (1 2 1); 2θ 28.68, intensity 31, (2 1 1); 2θ 29.78, intensity 79, (3 1 0); 2θ 32.98, intensity 58, (0 3 1); 2θ 35.67, intensity 53, (2 0 -2); 2θ 35.94, intensity 37, (3 2 -1); 2θ 53.32, intensity 37, (4 3 1); 2θ 65.81, intensity 35, (6 3 -1)

Entry 5:
For CuGe2P3, a structure optimized by DFT (GGA-PBE) gives the simulated X-ray diffraction stick pattern in this record (a wavelength of 1.5418 Å).
Lines closer than 0.1° are merged.

Cell and atoms:
abc: 3.8629 3.8629 9.3200
angles: 90.00 90.00 120.00
Space group P3m1 (No. 156)
Inequivalent atoms, fractional coordinates:
Cu 0.0000 0.0000 0.0000 [1 per cell]
Ge 0.3333 0.6667 0.7129 [1 per cell]
Ge 0.6667 0.3333 0.3468 [1 per cell]
P 0.0000 0.0000 0.2469 [1 per cell]
P 0.3333 0.6667 0.9568 [1 per cell]
P 0.6667 0.3333 0.6063 [1 per cell]

Principal peaks in the range 10° ≤ 2θ ≤ 90°, by angle:
2θ 28.34, intensity 100, (1 0 1); 2θ 28.74, intensity 28, (0 0 3); 2θ 32.96, intensity 18, (0 1 2); 2θ 47.05, intensity 41, (1 1 0); 2θ 47.56, intensity 37, (1 0 4); 2θ 55.84, intensity 14, (0 2 1); 2θ 56.07, intensity 24, (1 1 3); 2θ 69.13, intensity 12, (0 2 4); 2θ 75.95, intensity 11, (2 1 1); 2θ 87.85, intensity 12, (2 1 4)

Entry 6:
For CuGe2P3, a structure optimized by DFT (GGA-PBE) gives the simulated X-ray diffraction stick pattern in this record (a wavelength of 1.5418 Å).
Lines closer than 0.1° are merged.

Cell and atoms:
abc: 24.5669 3.7613 6.6103
angles: 90.00 94.46 90.00
Space group Cm (No. 8)
Inequivalent atoms, fractional coordinates:
Cu 0.0000 0.0000 0.0000 [2 per cell]
Cu 0.1130 0.0000 0.3687 [2 per cell]
Ge 0.1121 0.5000 0.8814 [2 per cell]
Ge 0.2346 0.5000 0.2415 [2 per cell]
Ge 0.2370 0.0000 0.7509 [2 per cell]
Ge 0.4890 0.0000 0.4948 [2 per cell]
P 0.0155 0.5000 0.8404 [2 per cell]
P 0.0195 0.0000 0.3304 [2 per cell]
P 0.1395 0.5000 0.2248 [2 per cell]
P 0.1411 0.0000 0.6983 [2 per cell]
P 0.2759 0.5000 0.5871 [2 per cell]
P 0.2789 0.0000 0.0930 [2 per cell]

Principal peaks in the range 10° ≤ 2θ ≤ 90°, by angle:
2θ 14.47, intensity 45, (4 0 0); 2θ 28.60, intensity 49, (2 0 2); 2θ 29.05, intensity 100, (3 1 -1); 2θ 29.17, intensity 47, (8 0 0); 2θ 33.57, intensity 28, (5 1 1); 2θ 47.85, intensity 40, (1 1 -3); 2θ 48.40, intensity 24, (0 2 0); 2θ 48.58, intensity 39, (11 1 -1); 2θ 56.73, intensity 21, (4 0 -4); 2θ 57.35, intensity 23, (9 1 -3)

Entry 7:
For CuGe2P3, a structure optimized by DFT (GGA-PBE) gives the simulated X-ray diffraction stick pattern in this record (a wavelength of 1.5418 Å).
Lines closer than 0.1° are merged.

Cell and atoms:
abc: 3.6379 4.0821 10.2028
angles: 90.00 90.00 90.00
Space group Pmm2 (No. 25)
Inequivalent atoms, fractional coordinates:
Cu 0.0000 0.0000 0.0000 [1 per cell]
Ge 0.0000 0.0000 0.5174 [1 per cell]
Ge 0.5000 0.5000 0.7949 [1 per cell]
P 0.0000 0.5000 0.3932 [1 per cell]
P 0.0000 0.5000 0.9407 [1 per cell]
P 0.5000 0.0000 0.6706 [1 per cell]

Principal peaks in the range 10° ≤ 2θ ≤ 90°, by angle:
2θ 17.38, intensity 34, (0 0 2); 2θ 26.00, intensity 23, (1 0 1); 2θ 27.99, intensity 82, (0 1 2); 2θ 30.17, intensity 100, (1 0 2); 2θ 32.98, intensity 20, (1 1 0); 2θ 44.39, intensity 28, (0 2 0); 2θ 48.99, intensity 56, (1 1 4); 2θ 50.15, intensity 17, (2 0 0); 2θ 54.61, intensity 35, (1 2 2); 2θ 58.42, intensity 20, (2 1 2)

Entry 8:
For Pr2CuGe6, a structure optimized by DFT (GGA-PBE) gives the simulated X-ray diffraction stick pattern in this record (a wavelength of 1.5418 Å).
Lines closer than 0.1° are merged.

Cell and atoms:
abc: 4.1938 4.1390 22.0735
angles: 90.00 90.00 90.00
Space group Amm2 (No. 38)
Inequivalent atoms, fractional coordinates:
Pr 0.0000 0.0000 0.0000 [2 per cell]
Pr 0.0000 0.0000 0.3328 [2 per cell]
Cu 0.5000 0.0000 0.7766 [2 per cell]
Ge 0.0000 0.0000 0.6062 [2 per cell]
Ge 0.0000 0.0000 0.7189 [2 per cell]
Ge 0.5000 0.0000 0.1050 [2 per cell]
Ge 0.5000 0.0000 0.2183 [2 per cell]
Ge 0.5000 0.0000 0.4531 [2 per cell]
Ge 0.5000 0.0000 0.8846 [2 per cell]

Principal peaks in the range 10° ≤ 2θ ≤ 90°, by angle:
2θ 32.40, intensity 35, (0 0 8); 2θ 32.75, intensity 100, (1 1 3); 2θ 36.67, intensity 17, (1 1 5); 2θ 41.97, intensity 12, (1 1 7); 2θ 42.86, intensity 18, (0 1 9); 2θ 43.14, intensity 24, (2 0 0); 2θ 43.74, intensity 23, (0 2 0); 2θ 55.44, intensity 14, (1 2 6); 2θ 62.44, intensity 12, (2 1 9); 2θ 63.13, intensity 17, (2 2 0)